1.
Simulated X-ray diffraction stick pattern
Compound: Sc2BiH2
Radiation: λ = 1.5418 Å (Cu Kα)
Structure: a GGA-PBE-relaxed structure
Kinematic intensities with the Lorentz-polarization factor, no thermal factor.

Top 6 peaks for 2θ from 5° to 70°, by intensity:
- 2θ 35.4, rel. 100
- 2θ 24.9, rel. 65
- 2θ 33.1, rel. 55
- 2θ 60.6, rel. 45
- 2θ 17.5, rel. 37
- 2θ 37.7, rel. 26

Structure:
a = 5.7527 Å, b = 5.7527 Å, c = 5.7527 Å
α = 141.14°, β = 141.14°, γ = 56.13°
Sites, in units of the cell vectors:
Sc: 0.1622 0.1622 0.0000
Sc: 0.8378 0.8378 0.0000
Bi: 0.5000 0.5000 0.0000
H: 0.2500 0.7500 0.5000
H: 0.7500 0.2500 0.5000

2.
Simulated X-ray diffraction stick pattern
Compound: K5H4F
Radiation: λ = 1.5418 Å (Cu Kα)
Structure: a GGA-PBE-relaxed structure
Kinematic intensities with the Lorentz-polarization factor, no thermal factor.

Top 6 peaks for 2θ from 5° to 70°, by intensity:
- 2θ 31.8, rel. 100
- 2θ 27.5, rel. 90
- 2θ 54.2, rel. 34
- 2θ 45.7, rel. 32
- 2θ 45.6, rel. 31
- 2θ 27.4, rel. 30

Structure:
a = 16.4308 Å, b = 16.4308 Å, c = 16.4308 Å
α = 13.87°, β = 13.87°, γ = 13.87°
Sites, in units of the cell vectors:
K: 0.0000 0.0000 0.0000
K: 0.1979 0.1979 0.1979
K: 0.4011 0.4011 0.4011
K: 0.5989 0.5989 0.5989
K: 0.8021 0.8021 0.8021
H: 0.1015 0.1015 0.1015
H: 0.2995 0.2995 0.2995
H: 0.7005 0.7005 0.7005
H: 0.8985 0.8985 0.8985
F: 0.5000 0.5000 0.5000

3.
Simulated X-ray diffraction stick pattern
Compound: PrS2
Radiation: λ = 1.5418 Å (Cu Kα)
Structure: a GGA-PBE-relaxed structure
Kinematic intensities with the Lorentz-polarization factor, no thermal factor.

Top 6 peaks for 2θ from 5° to 70°, by intensity:
- 2θ 24.4, rel. 100
- 2θ 38.2, rel. 80
- 2θ 31.1, rel. 58
- 2θ 39.7, rel. 42
- 2θ 21.7, rel. 36
- 2θ 24.5, rel. 28

Structure:
a = 8.1991 Å, b = 4.0815 Å, c = 8.1204 Å
α = 90.00°, β = 90.11°, γ = 90.00°
Sites, in units of the cell vectors:
Pr: 0.2241 0.2110 0.3707
Pr: 0.2241 0.2890 0.8707
Pr: 0.7759 0.7110 0.1293
Pr: 0.7759 0.7890 0.6293
S: 0.1331 0.7389 0.1255
S: 0.1331 0.7611 0.6255
S: 0.4974 0.6545 0.3927
S: 0.4974 0.8455 0.8927
S: 0.5026 0.1545 0.1073
S: 0.5026 0.3455 0.6073
S: 0.8669 0.2389 0.3745
S: 0.8669 0.2611 0.8745